For PmWO4, a cell relaxed with GGA+U gives the theoretical powder diffractogram in this record (λ = 1.5418 Å (Cu Kα)).

Cell and atoms:
```
data_PmWO4
_cell_length_a 6.798
_cell_length_b 7.262
_cell_length_c 6.815
_cell_angle_alpha 90.00
_cell_angle_beta 90.00
_cell_angle_gamma 90.00
_space_group_name_H-M_alt 'I m m a'
_space_group_IT_number 74
_space_group_name_Hall '-I 2b 2'
loop_
_atom_site_label
_atom_site_type_symbol
_atom_site_fract_x
_atom_site_fract_y
_atom_site_fract_z
Pm1 Pm 0.000 0.250 0.192
W1 W 0.250 0.250 0.750
O1 O 0.000 0.080 0.790
O2 O 0.208 0.250 0.472
```

The 10 most intense peaks (2θ from 10° to 80°), by intensity:
Position (°2θ)	intensity	hkl
31.9	100.0	2 1 1
24.5	60.6	0 2 0
48.0	43.5	2 3 1
26.2	36.5	0 0 2
36.2	24.8	0 2 2
49.9	22.0	2 1 3
62.4	14.2	2 3 3
66.6	13.6	4 2 2
72.1	10.0	2 5 1
60.9	9.9	4 0 2